This entry pairs a crystal structure of CaMnZnAs2H3O10 with its theoretical XRD peak list. Radiation: λ = 1.5418 Å (Cu Kα). Structure: a GGA+U-relaxed structure.
Kinematic intensities with the Lorentz-polarization factor, no thermal factor.

Crystal structure
Cell lengths 5.5596, 5.6246, 7.3981 Å; angles 111.20, 96.62, 109.55 degrees
Space group P1 (No. 1)
Symmetry-distinct sites (fractional):
Ca (0.0000, 0.0000, 0.0000) x1
Mn (0.5047, 0.4985, 0.4980) x1
Zn (0.9986, 0.9848, 0.4960) x1
As (0.4150, 0.7891, 0.2000) x1
As (0.5859, 0.2080, 0.7983) x1
H (0.0288, 0.4924, 0.5189) x1
H (0.2088, 0.5444, 0.7459) x1
H (0.7919, 0.4552, 0.2646) x1
O (0.1694, 0.4428, 0.5899) x1
O (0.2438, 0.7070, 0.9653) x1
O (0.2481, 0.0784, 0.7637) x1
O (0.3114, 0.0356, 0.3490) x1
O (0.3213, 0.4946, 0.2518) x1
O (0.6787, 0.5040, 0.7480) x1
O (0.6840, 0.9602, 0.6451) x1
O (0.7521, 0.9210, 0.2351) x1
O (0.7566, 0.2886, 0.0318) x1
O (0.8324, 0.5546, 0.4170) x1

Most intense lines, 5 to 70 degrees two-theta, by angle:
2θ 17.59, intensity 66, (0 1 -1)
2θ 25.62, intensity 100, (-1 1 1)
2θ 27.21, intensity 50, (0 1 1)
2θ 27.90, intensity 57, (1 0 -2)
2θ 30.50, intensity 37, (1 1 0)
2θ 30.74, intensity 100, (1 -1 2)
2θ 31.14, intensity 36, (1 1 -2)
2θ 33.92, intensity 57, (0 2 -1)
2θ 34.46, intensity 49, (2 0 -1)
2θ 52.62, intensity 52, (1 -3 0)